[1]
For Mg3Sn2O7, the GGA-PBE geometry in the Materials Project gives the computed powder X-ray diffraction pattern in this record (λ = 1.5418 Å (Cu Kα)).
Intensities are scaled so that the largest is 100.

a b c (Å): 18.595 5.423 5.480
angles (deg): 90.00 90.00 90.00
Space group Cmc2_1 (No. 36)
Unique sites:
1 Mg 0.000 0.242 0.000 (multiplicity 4)
2 Mg 0.200 0.281 0.088 (multiplicity 8)
3 Sn 0.105 0.247 0.537 (multiplicity 8)
4 O 0.000 0.119 0.626 (multiplicity 4)
5 O 0.077 0.414 0.204 (multiplicity 8)
6 O 0.135 0.080 0.860 (multiplicity 8)
7 O 0.208 0.369 0.459 (multiplicity 8)

Main lines, low angle first (10 to 80 degrees two-theta):
2θ 19.1, d = 4.649 Å, intensity 44.1, hkl 4 0 0
2θ 23.6, d = 3.774 Å, intensity 77.0, hkl 1 1 1
2θ 32.7, d = 2.740 Å, intensity 31.4, hkl 0 0 2
2θ 33.0, d = 2.712 Å, intensity 28.0, hkl 0 2 0
2θ 33.5, d = 2.676 Å, intensity 100.0, hkl 5 1 1
2θ 47.2, d = 1.927 Å, intensity 27.0, hkl 0 2 2
2θ 58.8, d = 1.569 Å, intensity 25.4, hkl 5 1 3
2θ 59.3, d = 1.559 Å, intensity 31.3, hkl 5 3 1

[2]
For Tb2CoSi2, the GGA-PBE geometry in the Materials Project gives the computed powder X-ray diffraction pattern in this record (λ = 1.5418 Å (Cu Kα)).
Intensities are scaled so that the largest is 100.

a b c (Å): 10.465 4.147 10.011
angles (deg): 90.00 119.11 90.00
Space group C2/m (No. 12)
Unique sites:
1 Tb 0.001 0.000 0.329 (multiplicity 4)
2 Tb 0.187 0.000 0.107 (multiplicity 4)
3 Co 0.227 0.500 0.377 (multiplicity 4)
4 Si 0.006 0.500 0.875 (multiplicity 4)
5 Si 0.152 0.500 0.566 (multiplicity 4)

Main lines, low angle first (10 to 80 degrees two-theta):
2θ 23.6, d = 3.777 Å, intensity 66.4, hkl 1 1 0
2θ 27.1, d = 3.288 Å, intensity 48.4, hkl 2 0 -3
2θ 33.8, d = 2.650 Å, intensity 60.0, hkl 3 1 -1
2θ 34.2, d = 2.625 Å, intensity 47.1, hkl 3 1 -2
2θ 34.3, d = 2.611 Å, intensity 100.0, hkl 1 1 2
2θ 34.9, d = 2.571 Å, intensity 62.3, hkl 1 1 -3
2θ 37.5, d = 2.398 Å, intensity 46.9, hkl 3 1 -3
2θ 43.7, d = 2.074 Å, intensity 46.9, hkl 0 2 0

[3]
For Re2RuBr, the GGA-PBE geometry in the Materials Project gives the computed powder X-ray diffraction pattern in this record (λ = 1.5418 Å (Cu Kα)).
Intensities are scaled so that the largest is 100.

a b c (Å): 6.273 6.273 6.273
angles (deg): 90.00 90.00 90.00
Space group Fm-3m (No. 225)
Unique sites:
1 Re 0.250 0.250 0.250 (multiplicity 8)
2 Ru 0.000 0.000 0.000 (multiplicity 4)
3 Br 0.000 0.000 0.500 (multiplicity 4)

Main lines, low angle first (10 to 80 degrees two-theta):
2θ 28.5, d = 3.137 Å, intensity 13.7, hkl 2 0 0
2θ 40.7, d = 2.218 Å, intensity 100.0, hkl 2 2 0
2θ 50.4, d = 1.811 Å, intensity 4.1, hkl 2 2 2
2θ 58.9, d = 1.568 Å, intensity 16.9, hkl 4 0 0
2θ 66.7, d = 1.403 Å, intensity 5.5, hkl 4 2 0
2θ 74.0, d = 1.281 Å, intensity 34.4, hkl 4 2 2

[4]
For PdSe2, the GGA-PBE geometry in the Materials Project gives the computed powder X-ray diffraction pattern in this record (λ = 1.5418 Å (Cu Kα)).
Intensities are scaled so that the largest is 100.

a b c (Å): 5.794 5.945 8.585
angles (deg): 90.00 90.00 90.00
Space group Pbca (No. 61)
Unique sites:
1 Pd 0.000 0.000 0.000 (multiplicity 4)
2 Se 0.111 0.119 0.414 (multiplicity 8)

Main lines, low angle first (10 to 80 degrees two-theta):
2θ 20.7, d = 4.293 Å, intensity 100.0, hkl 0 0 2
2θ 25.8, d = 3.449 Å, intensity 28.1, hkl 1 0 2
2θ 29.9, d = 2.983 Å, intensity 25.0, hkl 1 1 2
2θ 35.5, d = 2.528 Å, intensity 22.6, hkl 1 2 1
2θ 38.2, d = 2.356 Å, intensity 30.4, hkl 1 1 3
2θ 49.8, d = 1.832 Å, intensity 33.5, hkl 1 3 1
2θ 50.8, d = 1.796 Å, intensity 26.1, hkl 3 1 1
2θ 58.1, d = 1.587 Å, intensity 24.5, hkl 1 1 5

[5]
For ScIn3P4, the GGA-PBE geometry in the Materials Project gives the computed powder X-ray diffraction pattern in this record (λ = 1.5418 Å (Cu Kα)).
Intensities are scaled so that the largest is 100.

a b c (Å): 4.217 4.217 11.906
angles (deg): 90.00 90.00 90.00
Space group P-4m2 (No. 115)
Unique sites:
1 Sc 0.000 0.000 0.000 (multiplicity 1)
2 In 0.000 0.000 0.500 (multiplicity 1)
3 In 0.500 0.500 0.250 (multiplicity 2)
4 P 0.000 0.500 0.124 (multiplicity 2)
5 P 0.000 0.500 0.625 (multiplicity 2)

Main lines, low angle first (10 to 80 degrees two-theta):
2θ 25.9, d = 3.441 Å, intensity 100.0, hkl 1 0 2
2θ 30.0, d = 2.980 Å, intensity 21.8, hkl 1 1 0
2θ 42.9, d = 2.107 Å, intensity 58.0, hkl 2 0 0
2θ 50.8, d = 1.797 Å, intensity 44.6, hkl 2 1 2
2θ 53.2, d = 1.721 Å, intensity 5.8, hkl 2 0 4
2θ 62.3, d = 1.491 Å, intensity 6.1, hkl 2 2 0
2θ 68.6, d = 1.367 Å, intensity 17.5, hkl 3 0 2
2θ 78.6, d = 1.217 Å, intensity 18.6, hkl 3 1 4

[6]
For LuAl, the GGA-PBE geometry in the Materials Project gives the computed powder X-ray diffraction pattern in this record (λ = 1.5418 Å (Cu Kα)).
Intensities are scaled so that the largest is 100.

a b c (Å): 5.764 11.205 5.524
angles (deg): 90.00 90.00 90.00
Space group Pbcm (No. 57)
Unique sites:
1 Lu 0.105 0.170 0.250 (multiplicity 4)
2 Lu 0.341 0.018 0.750 (multiplicity 4)
3 Al 0.156 0.596 0.750 (multiplicity 4)
4 Al 0.429 0.750 0.000 (multiplicity 4)

Main lines, low angle first (10 to 80 degrees two-theta):
2θ 22.1, d = 4.017 Å, intensity 38.3, hkl 1 2 0
2θ 27.5, d = 3.249 Å, intensity 38.5, hkl 1 2 1
2θ 32.4, d = 2.762 Å, intensity 50.2, hkl 0 0 2
2θ 32.9, d = 2.726 Å, intensity 100.0, hkl 1 3 1
2θ 35.9, d = 2.498 Å, intensity 39.8, hkl 0 4 1
2θ 36.1, d = 2.491 Å, intensity 88.6, hkl 2 1 1
2θ 39.6, d = 2.276 Å, intensity 32.6, hkl 1 2 2
2θ 60.2, d = 1.538 Å, intensity 28.3, hkl 2 1 3